For CeHgBr6, a GGA-PBE-relaxed structure gives the calculated powder XRD pattern in this record (Cu Kα X-rays).
Intensities are scaled so that the largest is 100.

Structure:
Cell: 7.3142 12.6536 7.0437 Å, 90.00 90.62 90.00°
Space group C2/m (No. 12)
One atom of each set of equivalent atoms:
Ce (0.0000, 0.0000, 0.0000) (multiplicity 2)
Hg (0.0000, 0.0000, 0.5000) (multiplicity 2)
Br (0.1524, 0.1526, 0.2456) (multiplicity 8)
Br (0.1951, 0.5000, 0.2403) (multiplicity 4)

Largest 10 diffraction maxima, most intense first, 10° ≤ 2θ ≤ 80°:
hkl 1 1 0, 2θ 13.99, I 100
hkl 1 3 -1, 2θ 27.42, I 27
hkl 3 3 0, 2θ 42.86, I 25
hkl 1 3 2, 2θ 35.52, I 24
hkl 2 0 1, 2θ 27.58, I 21
hkl 1 3 -2, 2θ 35.30, I 14
hkl 1 5 0, 2θ 37.59, I 11
hkl 4 2 0, 2θ 52.09, I 10
hkl 2 0 -2, 2θ 35.19, I 9
hkl 2 0 -3, 2θ 45.73, I 8